# 1
This entry pairs a crystal structure of Na3OsCl7 with its theoretical X-ray diffraction stick pattern. Radiation: Cu Ka. Structure: a PBE-relaxed structure.
Lines closer than 0.1° are merged.

Top 10 peaks for 2θ from 5° to 70°, by angle:
(1 1 0), 2θ = 13.02°, intensity 1000
(0 0 1), 2θ = 13.57°, intensity 281
(1 1 -1), 2θ = 17.18°, intensity 389
(2 0 0), 2θ = 17.54°, intensity 325
(2 0 -1), 2θ = 19.33°, intensity 253
(1 1 1), 2θ = 20.39°, intensity 393
(2 0 -2), 2θ = 28.59°, intensity 238
(2 2 1), 2θ = 31.66°, intensity 290
(1 3 1), 2θ = 34.48°, intensity 360
(3 3 1), 2θ = 44.50°, intensity 185

Cell and atoms:
```
data_Na3OsCl7
_symmetry_space_group_name_H-M 'C 1 m 1'
_symmetry_Int_Tables_number 8
_cell_length_a 10.4470
_cell_length_b 9.1803
_cell_length_c 6.7428
_cell_angle_alpha 90.00
_cell_angle_beta 104.52
_cell_angle_gamma 90.00
loop_
_symmetry_equiv_pos_as_xyz
'x,y,z'
'x,-y,z'
'x+1/2,y+1/2,z'
'x+1/2,-y+1/2,z'
loop_
_atom_site_label
_atom_site_fract_x
_atom_site_fract_y
_atom_site_fract_z
Na1 0.0000 0.0000 0.0000
Na2 0.4157 0.2192 0.3961
Os1 0.4165 0.0000 0.8902
Cl1 0.0510 0.5000 0.6567
Cl2 0.0526 0.3193 0.0850
Cl3 0.2815 0.0000 0.1301
Cl4 0.2830 0.1826 0.7046
Cl5 0.4379 0.5000 0.3603
```

=====

# 2
This entry pairs a crystal structure of NaOsCl6 with its theoretical X-ray diffraction stick pattern. Radiation: Cu Ka. Structure: a PBE-relaxed structure.
Lines closer than 0.1° are merged.

Top 10 peaks for 2θ from 5° to 70°, by angle:
(1 1 1), 2θ = 16.23°, intensity 1000
(2 0 0), 2θ = 16.54°, intensity 181
(0 0 2), 2θ = 16.99°, intensity 190
(0 2 0), 2θ = 22.23°, intensity 101
(2 0 -2), 2θ = 23.75°, intensity 97
(2 0 2), 2θ = 23.85°, intensity 119
(3 1 -1), 2θ = 28.65°, intensity 125
(1 1 3), 2θ = 29.24°, intensity 96
(1 3 -1), 2θ = 35.75°, intensity 169
(4 0 -2), 2θ = 37.70°, intensity 102

Cell and atoms:
```
data_NaOsCl6
_symmetry_space_group_name_H-M 'C 1 2/c 1'
_symmetry_Int_Tables_number 15
_cell_length_a 10.7171
_cell_length_b 7.9981
_cell_length_c 10.4351
_cell_angle_alpha 90.00
_cell_angle_beta 90.24
_cell_angle_gamma 90.00
loop_
_symmetry_equiv_pos_as_xyz
'x,y,z'
'-x,-y,-z'
'-x,y,-z+1/2'
'x,-y,z+1/2'
'x+1/2,y+1/2,z'
'-x+1/2,-y+1/2,-z'
'-x+1/2,y+1/2,-z+1/2'
'x+1/2,-y+1/2,z+1/2'
loop_
_atom_site_label
_atom_site_fract_x
_atom_site_fract_y
_atom_site_fract_z
Na1 0.0000 0.0164 0.2500
Os1 0.2500 0.2500 0.0000
Cl1 0.0673 0.3281 0.1017
Cl2 0.1556 0.2899 0.8020
Cl3 0.1810 0.0264 0.5008
```